Calculated XRD peak list of LiUPt6 for Cu Kα (λ = 1.5418 Å), from the PBE geometry in Alexandria.

Principal peaks in the range 10 to 90 degrees two-theta, by angle:
| h k l | 2θ/deg | intensity |
| --- | --- | --- |
| 2 0 0 | 36.38 | 25 |
| 0 0 2 | 38.66 | 27 |
| 2 0 1 | 41.38 | 100 |
| 2 2 0 | 65.46 | 17 |
| 2 0 3 | 71.82 | 21 |
| 2 2 2 | 78.69 | 21 |

Structural model:
Lattice parameters (Å, degrees): 5.7032 5.7032 4.6580 90.00 90.00 120.00
Space group P-6m2 (No. 187)
Asymmetric unit:
1 Li 0.0000 0.0000 0.0000 (multiplicity 1)
2 U 0.6667 0.3333 0.5000 (multiplicity 1)
3 Pt 0.0036 0.5018 0.0000 (multiplicity 3)
4 Pt 0.1665 0.3329 0.5000 (multiplicity 3)

***

Calculated XRD peak list of LiY3Pt3 for Cu Kα (λ = 1.5418 Å), from the PBE geometry in Alexandria.

Principal peaks in the range 10 to 90 degrees two-theta, by angle:
| h k l | 2θ/deg | intensity |
| --- | --- | --- |
| 1 1 0 | 12.99 | 25 |
| 4 0 0 | 36.98 | 21 |
| 2 2 2 | 37.60 | 100 |
| 4 4 0 | 53.82 | 14 |
| 6 2 2 | 67.03 | 15 |
| 2 6 2 | 67.95 | 14 |

Structural model:
Lattice parameters (Å, degrees): 9.724 9.551 6.725 90.00 90.02 90.00
Space group C2/m (No. 12)
Asymmetric unit:
1 Li 0.226 0.000 0.000 (multiplicity 4)
2 Y 0.000 0.243 0.500 (multiplicity 4)
3 Y 0.000 0.264 0.000 (multiplicity 4)
4 Y 0.249 0.000 0.501 (multiplicity 4)
5 Pt 0.000 0.000 0.240 (multiplicity 4)
6 Pt 0.250 0.250 0.243 (multiplicity 8)

***

Calculated XRD peak list of Li3YPt3 for Cu Kα (λ = 1.5418 Å), from the PBE geometry in Alexandria.

Principal peaks in the range 10 to 90 degrees two-theta, by angle:
| h k l | 2θ/deg | intensity |
| --- | --- | --- |
| 2 1 0 | 31.41 | 100 |
| 2 1 1 | 34.49 | 47 |
| 3 2 0 | 51.75 | 25 |
| 3 2 1 | 53.86 | 26 |
| 4 2 1 | 67.38 | 23 |
| 5 2 0 | 81.36 | 21 |

Structural model:
Lattice parameters (Å, degrees): 6.369 6.369 6.369 90.00 90.00 90.00
Space group Pm-3n (No. 223)
Asymmetric unit:
1 Li 0.000 0.250 0.500 (multiplicity 6)
2 Y 0.000 0.000 0.000 (multiplicity 2)
3 Pt 0.000 0.500 0.250 (multiplicity 6)

***

Calculated XRD peak list of Li4YPt2 for Cu Kα (λ = 1.5418 Å), from the PBE geometry in Alexandria.

Principal peaks in the range 10 to 90 degrees two-theta, by angle:
| h k l | 2θ/deg | intensity |
| --- | --- | --- |
| 2 0 0 | 23.51 | 33 |
| 2 1 0 | 26.34 | 33 |
| 1 1 1 | 27.26 | 100 |
| 2 2 0 | 33.49 | 34 |
| 3 0 1 | 41.96 | 35 |
| 0 0 2 | 43.73 | 47 |

Structural model:
Lattice parameters (Å, degrees): 7.567 7.567 4.134 90.00 90.00 90.00
Space group P4_2/mnm (No. 136)
Asymmetric unit:
1 Li 0.099 0.347 0.000 (multiplicity 8)
2 Y 0.000 0.000 0.500 (multiplicity 2)
3 Pt 0.206 0.794 0.000 (multiplicity 4)

***

Calculated XRD peak list of Li6ZnPt2 for Cu Kα (λ = 1.5418 Å), from the PBE geometry in Alexandria.

Principal peaks in the range 10 to 90 degrees two-theta, by angle:
| h k l | 2θ/deg | intensity |
| --- | --- | --- |
| 2 0 0 | 13.60 | 26 |
| 3 1 0 | 23.67 | 100 |
| 6 0 0 | 41.62 | 28 |
| 0 2 1 | 41.95 | 34 |
| 3 1 1 | 42.08 | 17 |
| 6 2 0 | 48.44 | 15 |

Structural model:
Lattice parameters (Å, degrees): 13.007 7.524 2.624 90.00 90.25 90.00
Space group C2/m (No. 12)
Asymmetric unit:
1 Li 0.000 0.158 0.000 (multiplicity 4)
2 Li 0.171 0.329 0.998 (multiplicity 8)
3 Zn 0.000 0.500 0.500 (multiplicity 2)
4 Pt 0.167 0.000 0.500 (multiplicity 4)

***

Calculated XRD peak list of Li5ZnPt for Cu Kα (λ = 1.5418 Å), from the PBE geometry in Alexandria.

Principal peaks in the range 10 to 90 degrees two-theta, by angle:
| h k l | 2θ/deg | intensity |
| --- | --- | --- |
| 2 0 0 | 19.45 | 100 |
| 1 1 -1 | 21.54 | 82 |
| 1 1 1 | 22.87 | 71 |
| 3 1 -1 | 34.42 | 33 |
| 0 2 2 | 40.52 | 33 |
| 2 2 2 | 46.69 | 33 |

Structural model:
Lattice parameters (Å, degrees): 9.239 5.076 9.385 90.00 98.95 90.00
Space group C2/c (No. 15)
Asymmetric unit:
1 Li 0.000 0.227 0.250 (multiplicity 4)
2 Li 0.144 0.003 0.520 (multiplicity 8)
3 Li 0.238 0.471 0.209 (multiplicity 8)
4 Zn 0.000 0.500 0.000 (multiplicity 4)
5 Pt 0.000 0.268 0.750 (multiplicity 4)

***

Calculated XRD peak list of Li4ZnPt for Cu Kα (λ = 1.5418 Å), from the PBE geometry in Alexandria.

Principal peaks in the range 10 to 90 degrees two-theta, by angle:
| h k l | 2θ/deg | intensity |
| --- | --- | --- |
| 1 1 1 | 22.53 | 100 |
| 2 2 0 | 37.21 | 76 |
| 3 1 1 | 43.94 | 64 |
| 3 3 1 | 58.90 | 22 |
| 4 2 2 | 67.09 | 27 |
| 3 3 3 | 71.77 | 20 |

Structural model:
Lattice parameters (Å, degrees): 6.834 6.834 6.834 90.00 90.00 90.00
Space group F-43m (No. 216)
Asymmetric unit:
1 Li 0.124 0.124 0.124 (multiplicity 16)
2 Zn 0.000 0.000 0.500 (multiplicity 4)
3 Pt 0.250 0.250 0.750 (multiplicity 4)

***

Calculated XRD peak list of Li8ZnPt2 for Cu Kα (λ = 1.5418 Å), from the PBE geometry in Alexandria.

Principal peaks in the range 10 to 90 degrees two-theta, by angle:
| h k l | 2θ/deg | intensity |
| --- | --- | --- |
| 1 1 0 | 13.85 | 72 |
| 2 0 0 | 22.32 | 61 |
| 1 1 1 | 25.23 | 100 |
| 1 3 0 | 27.36 | 38 |
| 3 1 1 | 41.00 | 34 |
| 2 4 1 | 46.12 | 37 |

Structural model:
Lattice parameters (Å, degrees): 7.966 10.717 4.233 90.00 90.00 90.00
Space group Cmmm (No. 65)
Asymmetric unit:
1 Li 0.000 0.244 0.000 (multiplicity 4)
2 Li 0.156 0.000 0.000 (multiplicity 4)
3 Li 0.175 0.358 0.500 (multiplicity 8)
4 Zn 0.000 0.500 0.000 (multiplicity 2)
5 Pt 0.000 0.123 0.500 (multiplicity 4)

***

Calculated XRD peak list of Li6Zn2Pt for Cu Kα (λ = 1.5418 Å), from the PBE geometry in Alexandria.

Principal peaks in the range 10 to 90 degrees two-theta, by angle:
| h k l | 2θ/deg | intensity |
| --- | --- | --- |
| 1 0 1 | 17.59 | 27 |
| 1 1 0 | 23.21 | 100 |
| 3 0 0 | 40.78 | 30 |
| 1 1 3 | 42.17 | 50 |
| 3 0 3 | 54.59 | 18 |
| 4 1 3 | 75.18 | 18 |

Structural model:
Lattice parameters (Å, degrees): 7.6658 7.6658 7.7551 90.00 90.00 120.00
Space group R-3m (No. 166, hexagonal axes)
Asymmetric unit:
1 Li 0.0000 0.3392 0.0000 (multiplicity 18)
2 Zn 0.0000 0.0000 0.1675 (multiplicity 6)
3 Pt 0.0000 0.0000 0.5000 (multiplicity 3)

***

Calculated XRD peak list of Li3Zn6Pt2 for Cu Kα (λ = 1.5418 Å), from the PBE geometry in Alexandria.

Principal peaks in the range 10 to 90 degrees two-theta, by angle:
| h k l | 2θ/deg | intensity |
| --- | --- | --- |
| 0 1 -1 | 20.16 | 100 |
| 1 -1 1 | 22.87 | 63 |
| 0 2 -2 | 41.02 | 60 |
| 2 -2 0 | 41.83 | 39 |
| 1 1 1 | 42.31 | 87 |
| 2 0 -2 | 42.74 | 39 |

Structural model:
Lattice parameters (Å, degrees): 5.067 5.115 7.708 105.42 95.31 117.11
Space group P-1 (No. 2)
Asymmetric unit:
1 Li 0.000 0.000 0.000 (multiplicity 1)
2 Li 0.085 0.322 0.388 (multiplicity 2)
3 Zn 0.330 0.643 0.041 (multiplicity 2)
4 Zn 0.409 0.179 0.605 (multiplicity 2)
5 Zn 0.465 0.752 0.737 (multiplicity 2)
6 Pt 0.036 0.759 0.281 (multiplicity 2)

***

Calculated XRD peak list of Li23Zn6Pt for Cu Kα (λ = 1.5418 Å), from the PBE geometry in Alexandria.

Principal peaks in the range 10 to 90 degrees two-theta, by angle:
| h k l | 2θ/deg | intensity |
| --- | --- | --- |
| 0 0 2 | 10.63 | 97 |
| 1 0 1 | 12.36 | 100 |
| 1 1 0 | 15.80 | 82 |
| 0 0 4 | 21.35 | 61 |
| 1 1 4 | 26.67 | 45 |
| 2 2 4 | 38.71 | 86 |

Structural model:
Lattice parameters (Å, degrees): 7.933 7.933 16.650 90.00 90.00 90.00
Space group I4/mmm (No. 139)
Asymmetric unit:
1 Li 0.000 0.000 0.000 (multiplicity 2)
2 Li 0.000 0.233 0.381 (multiplicity 16)
3 Li 0.000 0.251 0.123 (multiplicity 16)
4 Li 0.000 0.500 0.000 (multiplicity 4)
5 Li 0.250 0.250 0.250 (multiplicity 8)
6 Zn 0.000 0.000 0.246 (multiplicity 4)
7 Zn 0.241 0.241 0.500 (multiplicity 8)
8 Pt 0.000 0.000 0.500 (multiplicity 2)

***

Calculated XRD peak list of Li3Zn8Pt for Cu Kα (λ = 1.5418 Å), from the PBE geometry in Alexandria.

Principal peaks in the range 10 to 90 degrees two-theta, by angle:
| h k l | 2θ/deg | intensity |
| --- | --- | --- |
| 0 0 3 | 10.71 | 55 |
| 1 0 1 | 20.67 | 35 |
| 0 1 2 | 21.57 | 46 |
| 1 1 6 | 41.97 | 100 |
| 2 0 2 | 42.05 | 33 |
| 0 2 4 | 44.00 | 51 |

Structural model:
Lattice parameters (Å, degrees): 5.0389 5.0389 24.7884 90.00 90.00 120.00
Space group R3m (No. 160, hexagonal axes)
Asymmetric unit:
1 Li 0.0000 0.0000 0.0000 (multiplicity 3)
2 Li 0.0000 0.0000 0.1289 (multiplicity 3)
3 Li 0.0000 0.0000 0.6208 (multiplicity 3)
4 Zn 0.0000 0.0000 0.3135 (multiplicity 3)
5 Zn 0.0000 0.0000 0.8128 (multiplicity 3)
6 Zn 0.0028 0.5014 0.0644 (multiplicity 9)
7 Zn 0.1673 0.3345 0.8948 (multiplicity 9)
8 Pt 0.0000 0.0000 0.4996 (multiplicity 3)